Theoretical X-ray diffraction stick pattern of Ce6TlHg5 for copper Kα, from a crystal structure in Alexandria, relaxed with GGA-PBE.
Peak positions follow from Bragg's law for the DFT cell and can differ from measured ones.

Cell and atoms:
```
Ce6TlHg5
1.0
8.521 -3.882 0.000
8.521 3.882 0.000
-1.685 0.000 5.127
Ce Tl Hg
6 1 5
Direct
0.080 0.584 0.332
0.246 0.754 0.000
0.416 0.920 0.668
0.584 0.080 0.332
0.754 0.246 0.000
0.920 0.416 0.668
0.500 0.500 0.500
0.000 0.000 0.500
0.167 0.167 0.167
0.334 0.334 0.834
0.666 0.666 0.166
0.833 0.833 0.833
```

Main lines, in order of falling intensity (10 to 80 degrees two-theta):
2θ 32.9, I 100
2θ 33.2, I 49
2θ 58.6, I 19
2θ 59.1, I 19
2θ 59.2, I 19
2θ 46.8, I 9
2θ 47.5, I 9
2θ 47.8, I 9
2θ 78.0, I 9
2θ 68.9, I 6